Calculated X-ray diffraction stick pattern of Mn2InO5 for Cu Ka, from a cell relaxed with GGA+U.
Intensities are scaled so that the largest is 100.

Structure:
a = 5.3787 Å, b = 5.3787 Å, c = 10.2729 Å
α = 90.00°, β = 90.00°, γ = 137.37°
Fractional coordinates of all 16 atoms:
Mn (0.1379, 0.8621, 0.5576)
Mn (0.1379, 0.8621, 0.9424)
Mn (0.8621, 0.1379, 0.0576)
Mn (0.8621, 0.1379, 0.4424)
In (0.1957, 0.8043, 0.2500)
In (0.8043, 0.1957, 0.7500)
O (0.0471, 0.9529, 0.1081)
O (0.0471, 0.9529, 0.3919)
O (0.2112, 0.7888, 0.7500)
O (0.3106, 0.6894, 0.0536)
O (0.3106, 0.6894, 0.4464)
O (0.6894, 0.3106, 0.5536)
O (0.6894, 0.3106, 0.9464)
O (0.7888, 0.2112, 0.2500)
O (0.9529, 0.0471, 0.6081)
O (0.9529, 0.0471, 0.8919)

Peak list (8 most intense, 2θ = 15–90°, low angle first)
- 2θ 17.7, I = 83
- 2θ 24.4, I = 100
- 2θ 26.0, I = 57
- 2θ 31.6, I = 75
- 2θ 35.3, I = 48
- 2θ 36.0, I = 69
- 2θ 46.4, I = 42
- 2θ 54.5, I = 36

=====

Calculated X-ray diffraction stick pattern of Mg14NbNiO16 for Cu Ka, from a cell relaxed with GGA+U.
Intensities are scaled so that the largest is 100.

Structure:
a = 8.6180 Å, b = 8.6180 Å, c = 4.2633 Å
α = 90.00°, β = 90.00°, γ = 90.00°
Fractional coordinates of all 32 atoms:
Mg (0.0000, 0.2450, 0.0000)
Mg (0.0000, 0.5000, 0.5000)
Mg (0.0000, 0.7550, 0.0000)
Mg (0.2401, 0.5000, 0.0000)
Mg (0.2431, 0.2431, 0.5000)
Mg (0.2431, 0.7569, 0.5000)
Mg (0.2450, 0.0000, 0.0000)
Mg (0.5000, 0.0000, 0.5000)
Mg (0.5000, 0.2401, 0.0000)
Mg (0.5000, 0.7599, 0.0000)
Mg (0.7550, 0.0000, 0.0000)
Mg (0.7569, 0.2431, 0.5000)
Mg (0.7569, 0.7569, 0.5000)
Mg (0.7599, 0.5000, 0.0000)
Nb (0.5000, 0.5000, 0.5000)
Ni (0.0000, 0.0000, 0.5000)
O (0.0000, 0.0000, 0.0000)
O (0.0000, 0.2601, 0.5000)
O (0.0000, 0.5000, 0.0000)
O (0.0000, 0.7399, 0.5000)
O (0.2435, 0.5000, 0.5000)
O (0.2510, 0.2510, 0.0000)
O (0.2510, 0.7490, 0.0000)
O (0.2601, 0.0000, 0.5000)
O (0.5000, 0.0000, 0.0000)
O (0.5000, 0.2435, 0.5000)
O (0.5000, 0.5000, 0.0000)
O (0.5000, 0.7565, 0.5000)
O (0.7399, 0.0000, 0.5000)
O (0.7490, 0.2510, 0.0000)
O (0.7490, 0.7490, 0.0000)
O (0.7565, 0.5000, 0.5000)

Peak list (8 most intense, 2θ = 15–90°, low angle first)
- 2θ 20.6, I = 13
- 2θ 25.5, I = 15
- 2θ 36.2, I = 34
- 2θ 41.9, I = 100
- 2θ 42.4, I = 49
- 2θ 60.8, I = 28
- 2θ 61.2, I = 56
- 2θ 76.9, I = 26

=====

Please write out number 1 again, unchanged.
Calculated X-ray diffraction stick pattern of Mn2InO5 for Cu Ka, from a cell relaxed with GGA+U.
Intensities are scaled so that the largest is 100.

Structure:
a = 5.3787 Å, b = 5.3787 Å, c = 10.2729 Å
α = 90.00°, β = 90.00°, γ = 137.37°
Fractional coordinates of all 16 atoms:
Mn (0.1379, 0.8621, 0.5576)
Mn (0.1379, 0.8621, 0.9424)
Mn (0.8621, 0.1379, 0.0576)
Mn (0.8621, 0.1379, 0.4424)
In (0.1957, 0.8043, 0.2500)
In (0.8043, 0.1957, 0.7500)
O (0.0471, 0.9529, 0.1081)
O (0.0471, 0.9529, 0.3919)
O (0.2112, 0.7888, 0.7500)
O (0.3106, 0.6894, 0.0536)
O (0.3106, 0.6894, 0.4464)
O (0.6894, 0.3106, 0.5536)
O (0.6894, 0.3106, 0.9464)
O (0.7888, 0.2112, 0.2500)
O (0.9529, 0.0471, 0.6081)
O (0.9529, 0.0471, 0.8919)

Peak list (8 most intense, 2θ = 15–90°, low angle first)
- 2θ 17.7, I = 83
- 2θ 24.4, I = 100
- 2θ 26.0, I = 57
- 2θ 31.6, I = 75
- 2θ 35.3, I = 48
- 2θ 36.0, I = 69
- 2θ 46.4, I = 42
- 2θ 54.5, I = 36